# 1
This entry pairs a crystal structure of Ac2NiSbPd6 with its theoretical powder diffractogram. Radiation: Cu Kα (λ = 1.5418 Å). Structure: a GGA-PBE-relaxed structure.
No peak broadening, texture or thermal motion is included.

Atomic structure:
Unit cell a=6.830 b=6.830 c=8.799 alpha=129.85 beta=129.85 gamma=47.99
Fractional positions:
Ac 0.234 0.234 0.262
Ac 0.766 0.766 0.738
Ni 0.500 0.500 0.000
Sb 0.000 0.000 0.500
Pd 0.252 0.736 0.746
Pd 0.256 0.256 0.910
Pd 0.264 0.748 0.254
Pd 0.736 0.252 0.746
Pd 0.744 0.744 0.090
Pd 0.748 0.264 0.254

Principal peaks in the range 10° ≤ 2θ ≤ 90°, by intensity:
27.62°, I 1000
38.33°, I 801
38.20°, I 709
40.17°, I 645
27.77°, I 588
40.57°, I 573
40.33°, I 393
28.46°, I 336
28.61°, I 296
56.95°, I 250

# 2
This entry pairs a crystal structure of AcSi8Ni2Pd with its theoretical powder diffractogram. Radiation: Cu Kα (λ = 1.5418 Å). Structure: a GGA-PBE-relaxed structure.
No peak broadening, texture or thermal motion is included.

Atomic structure:
Unit cell a=9.601 b=9.601 c=9.601 alpha=30.70 beta=30.70 gamma=30.70
Fractional positions:
Ac 0.000 0.000 0.000
Si 0.105 0.801 0.407
Si 0.199 0.593 0.895
Si 0.373 0.373 0.373
Si 0.407 0.105 0.801
Si 0.593 0.895 0.199
Si 0.627 0.627 0.627
Si 0.801 0.407 0.105
Si 0.895 0.199 0.593
Ni 0.283 0.283 0.283
Ni 0.717 0.717 0.717
Pd 0.500 0.500 0.500

Principal peaks in the range 10° ≤ 2θ ≤ 90°, by intensity:
24.02°, I 1000
35.31°, I 610
40.61°, I 584
33.12°, I 565
21.20°, I 519
36.70°, I 503
38.68°, I 409
43.16°, I 279
63.38°, I 257
41.60°, I 231

# 3
This entry pairs a crystal structure of Ac2Si4Ni3Pd with its theoretical powder diffractogram. Radiation: Cu Kα (λ = 1.5418 Å). Structure: a GGA-PBE-relaxed structure.
No peak broadening, texture or thermal motion is included.

Atomic structure:
Unit cell a=4.227 b=4.227 c=9.988 alpha=90.00 beta=90.00 gamma=90.00
Fractional positions:
Ac 0.000 0.500 0.244
Ac 0.500 0.000 0.756
Si 0.000 0.000 0.000
Si 0.000 0.500 0.627
Si 0.500 0.000 0.373
Si 0.500 0.500 0.000
Ni 0.000 0.500 0.883
Ni 0.500 0.000 0.117
Ni 0.500 0.500 0.500
Pd 0.000 0.000 0.500

Principal peaks in the range 10° ≤ 2θ ≤ 90°, by intensity:
34.99°, I 1000
34.29°, I 832
22.85°, I 644
42.79°, I 486
55.94°, I 413
29.90°, I 274
50.54°, I 242
73.32°, I 235
68.32°, I 197
64.03°, I 194

# 4
This entry pairs a crystal structure of AcZn2NiPd with its theoretical powder diffractogram. Radiation: Cu Kα (λ = 1.5418 Å). Structure: a GGA-PBE-relaxed structure.
No peak broadening, texture or thermal motion is included.

Atomic structure:
Unit cell a=4.060 b=4.321 c=11.094 alpha=90.00 beta=90.00 gamma=90.00
Fractional positions:
Ac 0.000 0.000 0.000
Ac 0.500 0.500 0.500
Zn 0.000 0.000 0.372
Zn 0.000 0.500 0.235
Zn 0.500 0.000 0.735
Zn 0.500 0.500 0.872
Ni 0.000 0.000 0.594
Ni 0.500 0.500 0.094
Pd 0.000 0.500 0.729
Pd 0.500 0.000 0.229

Principal peaks in the range 10° ≤ 2θ ≤ 90°, by intensity:
34.35°, I 1000
32.76°, I 309
31.85°, I 249
41.81°, I 237
44.64°, I 196
45.98°, I 170
54.11°, I 151
22.08°, I 150
62.82°, I 139
30.21°, I 123

# 5
This entry pairs a crystal structure of Ac3PmNi2 with its theoretical powder diffractogram. Radiation: Cu Kα (λ = 1.5418 Å). Structure: a GGA-PBE-relaxed structure.
No peak broadening, texture or thermal motion is included.

Atomic structure:
Unit cell a=9.054 b=9.054 c=12.522 alpha=123.73 beta=123.73 gamma=26.40
Fractional positions:
Ac 0.085 0.085 0.451
Ac 0.087 0.087 0.940
Ac 0.343 0.343 0.747
Ac 0.657 0.657 0.253
Ac 0.913 0.913 0.060
Ac 0.915 0.915 0.549
Pm 0.337 0.337 0.238
Pm 0.663 0.663 0.762
Ni 0.266 0.266 0.951
Ni 0.267 0.267 0.451
Ni 0.733 0.733 0.549
Ni 0.734 0.734 0.049

Principal peaks in the range 10° ≤ 2θ ≤ 90°, by intensity:
30.50°, I 1000
27.24°, I 893
28.93°, I 608
30.66°, I 533
33.41°, I 478
50.90°, I 412
37.93°, I 410
28.42°, I 390
43.79°, I 370
26.37°, I 353

# 6
This entry pairs a crystal structure of AcPm3Ni with its theoretical powder diffractogram. Radiation: Cu Kα (λ = 1.5418 Å). Structure: a GGA-PBE-relaxed structure.
No peak broadening, texture or thermal motion is included.

Atomic structure:
Unit cell a=7.773 b=7.773 c=6.204 alpha=90.00 beta=90.00 gamma=120.00
Fractional positions:
Ac 0.333 0.667 0.250
Ac 0.667 0.333 0.750
Pm 0.173 0.346 0.750
Pm 0.173 0.827 0.750
Pm 0.346 0.173 0.250
Pm 0.654 0.827 0.750
Pm 0.827 0.173 0.250
Pm 0.827 0.654 0.250
Ni 0.000 0.000 0.000
Ni 0.000 0.000 0.500

Principal peaks in the range 10° ≤ 2θ ≤ 90°, by intensity:
30.21°, I 1000
46.74°, I 240
39.51°, I 233
51.89°, I 223
28.78°, I 206
55.82°, I 193
56.67°, I 168
26.48°, I 149
76.43°, I 136
78.98°, I 103

# 7
This entry pairs a crystal structure of Ac3Pm3Ni4 with its theoretical powder diffractogram. Radiation: Cu Kα (λ = 1.5418 Å). Structure: a GGA-PBE-relaxed structure.
No peak broadening, texture or thermal motion is included.

Atomic structure:
Unit cell a=4.021 b=8.043 c=8.043 alpha=91.40 beta=90.00 gamma=90.00
Fractional positions:
Ac 0.000 0.000 0.000
Ac 0.500 0.353 0.842
Ac 0.500 0.842 0.353
Pm 0.000 0.190 0.501
Pm 0.000 0.501 0.190
Pm 0.000 0.678 0.678
Ni 0.500 0.233 0.233
Ni 0.500 0.459 0.459
Ni 0.500 0.718 0.950
Ni 0.500 0.950 0.718

Principal peaks in the range 10° ≤ 2θ ≤ 90°, by intensity:
31.47°, I 1000
33.62°, I 736
33.24°, I 692
35.03°, I 573
35.56°, I 528
27.05°, I 403
45.10°, I 338
58.35°, I 266
27.28°, I 256
58.71°, I 252

# 8
This entry pairs a crystal structure of AcPmNi with its theoretical powder diffractogram. Radiation: Cu Kα (λ = 1.5418 Å). Structure: a GGA-PBE-relaxed structure.
No peak broadening, texture or thermal motion is included.

Atomic structure:
Unit cell a=3.869 b=6.786 c=7.332 alpha=77.09 beta=74.79 gamma=73.51
Fractional positions:
Ac 0.172 0.245 0.412
Ac 0.828 0.755 0.588
Pm 0.420 0.268 0.892
Pm 0.580 0.732 0.108
Ni 0.115 0.939 0.832
Ni 0.885 0.061 0.168

Principal peaks in the range 10° ≤ 2θ ≤ 90°, by intensity:
31.10°, I 1000
31.55°, I 457
27.78°, I 420
27.03°, I 369
25.15°, I 362
34.83°, I 272
39.49°, I 269
57.39°, I 210
46.96°, I 191
43.64°, I 179